Structure and computed XRD peak list of LaPrAgRu (the GGA-PBE geometry in Alexandria; copper Kα).

Structure:
a = 7.3237 Å, b = 7.3237 Å, c = 7.3237 Å
α = 90.00°, β = 90.00°, γ = 90.00°
Element x y z (fractional)
La 0.0000 0.0000 0.0000
La 0.0000 0.5000 0.5000
La 0.5000 0.0000 0.5000
La 0.5000 0.5000 0.0000
Pr 0.0000 0.0000 0.5000
Pr 0.0000 0.5000 0.0000
Pr 0.5000 0.0000 0.0000
Pr 0.5000 0.5000 0.5000
Ag 0.2500 0.2500 0.2500
Ag 0.2500 0.7500 0.7500
Ag 0.7500 0.2500 0.7500
Ag 0.7500 0.7500 0.2500
Ru 0.2500 0.2500 0.7500
Ru 0.2500 0.7500 0.2500
Ru 0.7500 0.2500 0.2500
Ru 0.7500 0.7500 0.7500

Peak list (6 most intense, 2θ from 5° to 70°, in order of rising 2θ)
index	d/Å	intensity
2 0 0	3.662	2
2 2 0	2.589	100
2 2 2	2.114	1
4 0 0	1.831	18
4 2 0	1.638	1
4 2 2	1.495	36

Structure and computed XRD peak list of Ho3In2Pb (the GGA-PBE geometry in Alexandria; copper Kα).

Structure:
a = 4.9454 Å, b = 14.9279 Å, c = 4.3552 Å
α = 90.00°, β = 90.00°, γ = 90.00°
Element x y z (fractional)
Ho 0.0000 0.0000 0.0000
Ho 0.0000 0.3324 0.0000
Ho 0.0000 0.6676 0.0000
Ho 0.5000 0.1676 0.0000
Ho 0.5000 0.5000 0.0000
Ho 0.5000 0.8324 0.0000
In 0.0000 0.1706 0.5000
In 0.0000 0.8294 0.5000
In 0.5000 0.3294 0.5000
In 0.5000 0.6706 0.5000
Pb 0.0000 0.5000 0.5000
Pb 0.5000 0.0000 0.5000

Peak list (10 most intense, 2θ from 5° to 70°, in order of rising 2θ)
index	d/Å	intensity
1 3 1	2.732	100
0 6 0	2.488	19
2 0 0	2.473	19
0 0 2	2.178	13
2 6 0	1.754	13
0 6 2	1.639	11
2 0 2	1.634	11
1 9 1	1.479	15
3 3 1	1.473	15
2 6 2	1.366	12

Structure and computed XRD peak list of Na3TbHg4 (the GGA-PBE geometry in Alexandria; copper Kα).

Structure:
a = 15.8608 Å, b = 5.2092 Å, c = 5.2095 Å
α = 90.00°, β = 109.05°, γ = 90.00°
Element x y z (fractional)
Na 0.0000 0.0000 0.0000
Na 0.2485 0.0000 0.2484
Na 0.2515 0.5000 0.7516
Na 0.5000 0.5000 0.0000
Na 0.7485 0.5000 0.2484
Na 0.7515 0.0000 0.7516
Tb 0.0000 0.5000 0.5000
Tb 0.5000 0.0000 0.5000
Hg 0.1210 0.0000 0.6211
Hg 0.1211 0.5000 0.1212
Hg 0.3789 0.0000 0.8788
Hg 0.3790 0.5000 0.3789
Hg 0.6211 0.0000 0.1212
Hg 0.6210 0.5000 0.6211
Hg 0.8790 0.0000 0.3789
Hg 0.8789 0.5000 0.8788

Peak list (10 most intense, 2θ from 5° to 70°, in order of rising 2θ)
index	d/Å	intensity
2 0 0	7.496	8
4 0 0	3.748	18
1 1 -1	3.684	36
3 1 1	2.627	100
0 2 0	2.605	50
4 2 0	2.139	17
8 0 0	1.874	9
2 2 -2	1.842	19
8 2 0	1.522	14
3 3 1	1.508	37